No. 1
Structure and calculated powder X-ray diffraction pattern of ZnHg3O4 (a DFT-relaxed cell (GGA-PBE, Alexandria); Cu Kα X-rays).

Most intense lines, 2θ from 15° to 90°, sorted by position:
| d/Å | Rel. int. | (hkl) |
| --- | --- | --- |
| 3.627 | 9 | 1 1 0 |
| 2.961 | 100 | 1 1 1 |
| 2.565 | 41 | 2 0 0 |
| 1.813 | 42 | 2 2 0 |
| 1.547 | 44 | 3 1 1 |
| 1.481 | 11 | 2 2 2 |
| 1.177 | 18 | 3 3 1 |
| 1.147 | 16 | 4 2 0 |

Crystal structure
```
data_ZnHg3O4
_chemical_formula_sum 'Zn1 Hg3 O4'
_symmetry_space_group_name_H-M 'P -4 3 m'
_symmetry_Int_Tables_number 215
_symmetry_space_group_name_Hall 'P -4 2 3'
_cell_length_a 5.1292
_cell_length_b 5.1292
_cell_length_c 5.1292
_cell_angle_alpha 90.00
_cell_angle_beta 90.00
_cell_angle_gamma 90.00
loop_
_atom_site_label
_atom_site_type_symbol
_atom_site_fract_x
_atom_site_fract_y
_atom_site_fract_z
Zn1 Zn 0.0000 0.0000 0.0000
Hg1 Hg 0.0000 0.5000 0.5000
O1 O 0.2249 0.2249 0.2249
```

***

No. 2
Structure and calculated powder X-ray diffraction pattern of CeThTcI (a DFT-relaxed cell (GGA-PBE, Alexandria); Cu Kα X-rays).

Most intense lines, 2θ from 15° to 90°, sorted by position:
| d/Å | Rel. int. | (hkl) |
| --- | --- | --- |
| 3.419 | 29 | 0 1 2 |
| 3.083 | 37 | 1 0 4 |
| 2.888 | 100 | 0 1 5 |
| 2.507 | 17 | 1 0 7 |
| 2.054 | 48 | 1 1 0 |
| 2.030 | 19 | 1 0 10 |
| 1.674 | 20 | 2 0 5 |
| 1.645 | 20 | 1 1 9 |

Crystal structure
```
data_CeThTcI
_chemical_formula_sum 'Ce3 Th3 Tc3 I3'
_symmetry_space_group_name_H-M 'R 3 m'
_symmetry_Int_Tables_number 160
_symmetry_space_group_name_Hall 'R 3 -2"'
_cell_length_a 4.1078
_cell_length_b 4.1078
_cell_length_c 24.7273
_cell_angle_alpha 90.00
_cell_angle_beta 90.00
_cell_angle_gamma 120.00
loop_
_atom_site_label
_atom_site_type_symbol
_atom_site_fract_x
_atom_site_fract_y
_atom_site_fract_z
Ce1 Ce 0.0000 0.0000 0.0000
Th1 Th 0.0000 0.0000 0.2135
Tc1 Tc 0.0000 0.0000 0.6095
I1 I 0.0000 0.0000 0.7737
```

***

No. 3
Structure and calculated powder X-ray diffraction pattern of V12Ga3P (a DFT-relaxed cell (GGA-PBE, Alexandria); Cu Kα X-rays).

Most intense lines, 2θ from 15° to 90°, sorted by position:
| d/Å | Rel. int. | (hkl) |
| --- | --- | --- |
| 2.387 | 24 | 0 0 4 |
| 2.365 | 49 | 0 2 0 |
| 2.131 | 53 | 0 1 4 |
| 2.118 | 86 | 1 2 0 |
| 1.943 | 54 | 1 1 4 |
| 1.934 | 100 | 2 1 2 |
| 1.271 | 23 | 1 2 6 |
| 1.265 | 24 | 2 3 2 |

Crystal structure
```
data_V12Ga3P
_chemical_formula_sum 'V12 Ga3 P1'
_symmetry_space_group_name_H-M 'P m m m'
_symmetry_Int_Tables_number 47
_symmetry_space_group_name_Hall '-P 2 2'
_cell_length_a 4.7250
_cell_length_b 4.7334
_cell_length_c 9.5466
_cell_angle_alpha 90.00
_cell_angle_beta 90.00
_cell_angle_gamma 90.00
loop_
_atom_site_label
_atom_site_type_symbol
_atom_site_fract_x
_atom_site_fract_y
_atom_site_fract_z
V1 V 0.0000 0.0000 0.1204
V2 V 0.0000 0.0000 0.3757
V3 V 0.2467 0.5000 0.5000
V4 V 0.2571 0.5000 0.0000
V5 V 0.5000 0.2413 0.2410
Ga1 Ga 0.0000 0.5000 0.2490
Ga2 Ga 0.5000 0.0000 0.5000
P1 P 0.5000 0.0000 0.0000
```

***

No. 4
Structure and calculated powder X-ray diffraction pattern of TlSb3Au4 (a DFT-relaxed cell (GGA-PBE, Alexandria); Cu Kα X-rays).

Most intense lines, 2θ from 15° to 90°, sorted by position:
| d/Å | Rel. int. | (hkl) |
| --- | --- | --- |
| 2.898 | 100 | 1 0 2 |
| 2.081 | 13 | 0 0 4 |
| 2.050 | 50 | 1 4 2 |
| 2.016 | 12 | 2 0 0 |
| 1.691 | 13 | 0 4 4 |
| 1.655 | 13 | 2 4 0 |
| 1.296 | 22 | 2 4 4 |
| 1.195 | 8 | 1 4 6 |

Crystal structure
```
data_TlSb3Au4
_chemical_formula_sum 'Tl2 Sb6 Au8'
_symmetry_space_group_name_H-M 'A m m 2'
_symmetry_Int_Tables_number 38
_symmetry_space_group_name_Hall 'A 2 -2'
_cell_length_a 4.0315
_cell_length_b 11.6052
_cell_length_c 8.3239
_cell_angle_alpha 90.00
_cell_angle_beta 90.00
_cell_angle_gamma 90.00
loop_
_atom_site_label
_atom_site_type_symbol
_atom_site_fract_x
_atom_site_fract_y
_atom_site_fract_z
Tl1 Tl 0.0000 0.0000 0.0000
Sb1 Sb 0.0000 0.0000 0.5002
Sb2 Sb 0.5000 0.2499 0.2508
Au1 Au 0.0000 0.2430 0.5010
Au2 Au 0.5000 0.0000 0.2617
Au3 Au 0.5000 0.0000 0.7384
```

***

No. 5
Structure and calculated powder X-ray diffraction pattern of TmThI (a DFT-relaxed cell (GGA-PBE, Alexandria); Cu Kα X-rays).

Most intense lines, 2θ from 15° to 90°, sorted by position:
| d/Å | Rel. int. | (hkl) |
| --- | --- | --- |
| 3.184 | 100 | 0 1 1 |
| 3.036 | 56 | 0 1 2 |
| 2.910 | 33 | 0 0 6 |
| 2.830 | 76 | 0 1 3 |
| 2.601 | 34 | 1 0 4 |
| 2.375 | 86 | 1 0 5 |
| 1.870 | 51 | 1 1 0 |
| 1.573 | 33 | 1 1 6 |

Crystal structure
```
data_TmThI
_chemical_formula_sum 'Tm2 Th2 I2'
_symmetry_space_group_name_H-M 'P -3 m 1'
_symmetry_Int_Tables_number 164
_symmetry_space_group_name_Hall '-P 3 2"'
_cell_length_a 3.7392
_cell_length_b 3.7392
_cell_length_c 17.4611
_cell_angle_alpha 90.00
_cell_angle_beta 90.00
_cell_angle_gamma 120.00
loop_
_atom_site_label
_atom_site_type_symbol
_atom_site_fract_x
_atom_site_fract_y
_atom_site_fract_z
Tm1 Tm 0.3333 0.6667 0.2543
Th1 Th 0.0000 0.0000 0.0949
I1 I 0.3333 0.6667 0.6216
```

***

No. 6
Structure and calculated powder X-ray diffraction pattern of Pu6SiGe5 (a DFT-relaxed cell (GGA-PBE, Alexandria); Cu Kα X-rays).

Most intense lines, 2θ from 15° to 90°, sorted by position:
| d/Å | Rel. int. | (hkl) |
| --- | --- | --- |
| 4.160 | 51 | 0 2 0 |
| 2.555 | 100 | 2 2 1 |
| 2.530 | 97 | 4 2 -1 |
| 2.271 | 72 | 6 0 0 |
| 1.993 | 30 | 6 2 0 |
| 1.534 | 43 | 6 4 0 |
| 1.363 | 29 | 0 2 3 |
| 1.352 | 28 | 6 2 -3 |

Crystal structure
```
data_Pu6SiGe5
_chemical_formula_sum 'Pu12 Si2 Ge10'
_symmetry_space_group_name_H-M 'C 1 2/m 1'
_symmetry_Int_Tables_number 12
_symmetry_space_group_name_Hall '-C 2y'
_cell_length_a 14.2967
_cell_length_b 8.3202
_cell_length_c 4.5427
_cell_angle_alpha 90.00
_cell_angle_beta 107.63
_cell_angle_gamma 90.00
loop_
_atom_site_label
_atom_site_type_symbol
_atom_site_fract_x
_atom_site_fract_y
_atom_site_fract_z
Pu1 Pu 0.0000 0.2456 0.0000
Pu2 Pu 0.1654 0.2477 0.6659
Si1 Si 0.0000 0.0000 0.5000
Ge1 Ge 0.0000 0.5000 0.5000
Ge2 Ge 0.1655 0.5000 0.1662
Ge3 Ge 0.1670 0.0000 0.1681
```

***

No. 7
Structure and calculated powder X-ray diffraction pattern of Pr4Hg3Ge (a DFT-relaxed cell (GGA-PBE, Alexandria); Cu Kα X-rays).

Most intense lines, 2θ from 15° to 90°, sorted by position:
| d/Å | Rel. int. | (hkl) |
| --- | --- | --- |
| 2.946 | 7 | 1 0 7 |
| 2.706 | 100 | 1 1 0 |
| 1.914 | 17 | 2 0 8 |
| 1.562 | 35 | 3 0 0 |
| 1.480 | 6 | 1 1 15 |
| 1.353 | 10 | 2 2 0 |
| 1.210 | 13 | 3 1 8 |
| 1.105 | 3 | 0 4 8 |

Crystal structure
```
data_Pr4Hg3Ge
_chemical_formula_sum 'Pr12 Hg9 Ge3'
_symmetry_space_group_name_H-M 'R -3 m'
_symmetry_Int_Tables_number 166
_symmetry_space_group_name_Hall '-R 3 2"'
_cell_length_a 5.4133
_cell_length_b 5.4133
_cell_length_c 26.5057
_cell_angle_alpha 90.00
_cell_angle_beta 90.00
_cell_angle_gamma 120.00
loop_
_atom_site_label
_atom_site_type_symbol
_atom_site_fract_x
_atom_site_fract_y
_atom_site_fract_z
Pr1 Pr 0.0000 0.0000 0.1182
Pr2 Pr 0.0000 0.0000 0.3696
Hg1 Hg 0.0000 0.0000 0.2410
Hg2 Hg 0.0000 0.0000 0.5000
Ge1 Ge 0.0000 0.0000 0.0000
```

***

No. 8
Structure and calculated powder X-ray diffraction pattern of Ce3SF7 (a DFT-relaxed cell (GGA-PBE, Alexandria); Cu Kα X-rays).

Most intense lines, 2θ from 15° to 90°, sorted by position:
| d/Å | Rel. int. | (hkl) |
| --- | --- | --- |
| 4.592 | 100 | 0 0 1 |
| 3.891 | 77 | 1 3 0 |
| 3.638 | 54 | 2 0 0 |
| 2.969 | 43 | 1 3 1 |
| 2.852 | 31 | 2 0 1 |
| 2.296 | 25 | 0 0 2 |
| 2.146 | 26 | 3 3 0 |
| 1.945 | 34 | 3 3 1 |

Crystal structure
```
data_Ce3SF7
_chemical_formula_sum 'Ce6 S2 F14'
_symmetry_space_group_name_H-M 'C m m m'
_symmetry_Int_Tables_number 65
_symmetry_space_group_name_Hall '-C 2 2'
_cell_length_a 7.2764
_cell_length_b 13.8163
_cell_length_c 4.5922
_cell_angle_alpha 90.00
_cell_angle_beta 90.00
_cell_angle_gamma 90.00
loop_
_atom_site_label
_atom_site_type_symbol
_atom_site_fract_x
_atom_site_fract_y
_atom_site_fract_z
Ce1 Ce 0.0000 0.0000 0.0000
Ce2 Ce 0.0000 0.3076 0.0000
S1 S 0.0000 0.5000 0.0000
F1 F 0.0000 0.0000 0.5000
F2 F 0.0000 0.2854 0.5000
F3 F 0.1771 0.1553 0.0000
```

***

No. 9
Structure and calculated powder X-ray diffraction pattern of Ni3Rh4 (a DFT-relaxed cell (GGA-PBE, Alexandria); Cu Kα X-rays).

Most intense lines, 2θ from 15° to 90°, sorted by position:
| d/Å | Rel. int. | (hkl) |
| --- | --- | --- |
| 2.156 | 100 | 1 1 0 |
| 2.140 | 97 | 0 1 7 |
| 1.888 | 66 | 1 0 7 |
| 1.808 | 29 | 0 2 0 |
| 1.306 | 37 | 1 2 7 |
| 1.137 | 24 | 2 1 7 |
| 1.131 | 23 | 1 1 14 |
| 1.100 | 11 | 1 3 0 |

Crystal structure
```
data_Ni3Rh4
_chemical_formula_sum 'Ni6 Rh8'
_symmetry_space_group_name_H-M 'I m m m'
_symmetry_Int_Tables_number 71
_symmetry_space_group_name_Hall '-I 2 2'
_cell_length_a 2.6853
_cell_length_b 3.6163
_cell_length_c 18.5879
_cell_angle_alpha 90.00
_cell_angle_beta 90.00
_cell_angle_gamma 90.00
loop_
_atom_site_label
_atom_site_type_symbol
_atom_site_fract_x
_atom_site_fract_y
_atom_site_fract_z
Ni1 Ni 0.0000 0.0000 0.0000
Ni2 Ni 0.0000 0.0000 0.1410
Rh1 Rh 0.0000 0.0000 0.2875
Rh2 Rh 0.0000 0.0000 0.4294
```